1.
Starting from DFT lattice parameters and positions (GGA-PBE), the powder diffractogram of DyGa4Ge was calculated for Cu Ka.
Neutral-atom scattering factors, no anomalous dispersion.

Atomic structure:
Unit cell a=7.749 b=7.749 c=7.749 alpha=90.00 beta=90.00 gamma=90.00
Space group F-43m (No. 216)
Asymmetric unit:
Dy 0.000 0.000 0.000 (multiplicity 4)
Ga 0.125 0.125 0.375 (multiplicity 16)
Ge 0.250 0.250 0.750 (multiplicity 4)

Peak list (12 most intense, 10° ≤ 2θ ≤ 90°, low angle first)
(hkl)  2theta  I (rel.)
1 1 1  19.8  7
2 0 0  23.0  7
2 2 0  32.7  43
3 1 1  38.5  100
2 2 2  40.3  27
4 2 0  52.8  3
4 2 2  58.3  16
5 1 1  62.3  32
4 4 0  68.5  24
6 2 0  78.0  7
5 3 3  81.4  11
6 2 2  82.6  9

---

2.
Starting from DFT lattice parameters and positions (GGA-PBE), the powder diffractogram of Dy2Ga2GeRh5 was calculated for Cu Ka.
Neutral-atom scattering factors, no anomalous dispersion.

Atomic structure:
Unit cell a=9.748 b=9.748 c=3.524 alpha=90.00 beta=90.00 gamma=90.00
Space group P4/mbm (No. 127)
Asymmetric unit:
Dy 0.173 0.327 0.000 (multiplicity 4)
Ga 0.126 0.626 0.000 (multiplicity 4)
Ge 0.000 0.000 0.000 (multiplicity 2)
Rh 0.000 0.500 0.500 (multiplicity 2)
Rh 0.067 0.800 0.500 (multiplicity 8)

Peak list (12 most intense, 10° ≤ 2θ ≤ 90°, low angle first)
(hkl)  2theta  I (rel.)
2 0 1  31.3  10
2 1 1  32.7  29
2 2 1  36.5  19
4 1 0  38.1  54
3 1 1  38.8  100
3 3 0  39.2  23
4 2 0  41.4  14
3 2 1  42.1  32
4 0 1  45.2  13
0 0 2  51.9  21
4 1 2  66.2  32
3 3 2  66.9  20

---

Number 2 is which compound?
Dy2Ga2GeRh5

---

What is the formula in the first record?
DyGa4Ge